Computed X-ray powder pattern
Compound: PuCuRh
Radiation: λ = 1.5418 Å (Cu Kα)
Structure: a cell relaxed with PBE
Intensities are scaled so that the largest is 100.

Largest 10 diffraction maxima, by angle, 2θ = 10–90°:
2θ (°), intensity
22.8, 30
28.5, 97
34.2, 44
34.8, 100
38.9, 87
39.0, 40
40.8, 65
41.5, 77
42.5, 55
60.4, 42

Structural model:
a = 5.3160 Å, b = 5.3160 Å, c = 5.2476 Å
α = 90.00°, β = 90.00°, γ = 132.85°
Fractional coordinates of all 6 atoms:
1 Pu 0.1966 0.8034 0.7500
2 Pu 0.8034 0.1966 0.2500
3 Cu 0.5000 0.5000 0.0000
4 Cu 0.5000 0.5000 0.5000
5 Rh 0.0973 0.9027 0.2500
6 Rh 0.9027 0.0973 0.7500



Computed X-ray powder pattern
Compound: Pu5CuRh6
Radiation: λ = 1.5418 Å (Cu Kα)
Structure: a cell relaxed with PBE
Intensities are scaled so that the largest is 100.

Largest 10 diffraction maxima, by angle, 2θ = 10–90°:
2θ (°), intensity
26.4, 6
26.8, 9
37.6, 100
39.1, 20
53.2, 8
55.3, 11
67.8, 8
67.9, 8
69.9, 15
80.3, 7

Structural model:
a = 8.2947 Å, b = 8.2947 Å, c = 8.2947 Å
α = 147.74°, β = 130.93°, γ = 59.95°
Fractional coordinates of all 12 atoms:
1 Pu 0.0000 0.0000 0.0000
2 Pu 0.1829 0.6829 0.5000
3 Pu 0.3520 0.3520 0.0000
4 Pu 0.6480 0.6480 0.0000
5 Pu 0.8171 0.3171 0.5000
6 Cu 0.5000 0.0000 0.5000
7 Rh 0.0985 0.8441 0.2544
8 Rh 0.2309 0.5000 0.7309
9 Rh 0.4103 0.1559 0.2544
10 Rh 0.5897 0.8441 0.7456
11 Rh 0.7691 0.5000 0.2691
12 Rh 0.9015 0.1559 0.7456



Computed X-ray powder pattern
Compound: Pu4CuRu2
Radiation: λ = 1.5418 Å (Cu Kα)
Structure: a cell relaxed with PBE
Intensities are scaled so that the largest is 100.

Largest 10 diffraction maxima, by angle, 2θ = 10–90°:
2θ (°), intensity
27.8, 34
31.0, 13
33.5, 100
34.5, 11
36.1, 33
37.9, 31
43.1, 21
49.4, 11
63.3, 17
66.7, 10

Structural model:
a = 8.4767 Å, b = 8.4767 Å, c = 8.4767 Å
α = 117.12°, β = 73.53°, γ = 145.87°
Fractional coordinates of all 14 atoms:
1 Pu 0.0622 0.6909 0.7531
2 Pu 0.1950 0.1195 0.3146
3 Pu 0.3050 0.6195 0.9245
4 Pu 0.4378 0.1909 0.6287
5 Pu 0.5622 0.8091 0.3713
6 Pu 0.6950 0.3805 0.0755
7 Pu 0.8050 0.8805 0.6854
8 Pu 0.9378 0.3091 0.2469
9 Cu 0.2500 0.2500 0.0000
10 Cu 0.7500 0.7500 0.0000
11 Ru 0.1616 0.4016 0.5632
12 Ru 0.3384 0.9016 0.2400
13 Ru 0.6616 0.0984 0.7600
14 Ru 0.8384 0.5984 0.4368



Computed X-ray powder pattern
Compound: TmPuCuRu
Radiation: λ = 1.5418 Å (Cu Kα)
Structure: a cell relaxed with PBE
Intensities are scaled so that the largest is 100.

Largest 10 diffraction maxima, by angle, 2θ = 10–90°:
2θ (°), intensity
22.6, 4
26.2, 19
37.3, 100
44.1, 2
46.2, 6
53.8, 17
60.8, 8
67.3, 36
79.6, 11
85.5, 4

Structural model:
a = 4.8176 Å, b = 4.8176 Å, c = 4.8176 Å
α = 60.00°, β = 60.00°, γ = 60.00°
Fractional coordinates of all 4 atoms:
1 Tm 0.0000 0.0000 0.0000
2 Pu 0.5000 0.5000 0.5000
3 Cu 0.7500 0.7500 0.7500
4 Ru 0.2500 0.2500 0.2500